[1]
Ca2CdSn: computed XRD peak list (CuKα), based on a GGA-PBE-relaxed structure.
Peak positions follow from Bragg's law for the DFT cell and can differ from measured ones.

Structural model:
abc: 7.710 7.710 7.710
angles: 90.00 90.00 90.00
Positions (direct):
Ca 0.250 0.250 0.250
Ca 0.250 0.250 0.750
Ca 0.250 0.750 0.250
Ca 0.250 0.750 0.750
Ca 0.750 0.250 0.250
Ca 0.750 0.250 0.750
Ca 0.750 0.750 0.250
Ca 0.750 0.750 0.750
Cd 0.000 0.000 0.000
Cd 0.000 0.500 0.500
Cd 0.500 0.000 0.500
Cd 0.500 0.500 0.000
Sn 0.000 0.000 0.500
Sn 0.000 0.500 0.000
Sn 0.500 0.000 0.000
Sn 0.500 0.500 0.500

Top 6 peaks for 10° ≤ 2θ ≤ 90°, by intensity:
two_theta  I/Imax
32.9  1000
58.7  362
23.1  261
47.2  177
78.5  154
53.1  121

---

[2]
RbMg14Ti: computed XRD peak list (CuKα), based on a GGA-PBE-relaxed structure.
Peak positions follow from Bragg's law for the DFT cell and can differ from measured ones.

Structural model:
abc: 6.575 6.575 10.465
angles: 90.00 90.00 120.00
Positions (direct):
Rb 0.000 0.000 0.000
Mg 0.011 0.505 0.000
Mg 0.169 0.337 0.269
Mg 0.169 0.337 0.731
Mg 0.169 0.831 0.269
Mg 0.169 0.831 0.731
Mg 0.495 0.505 0.000
Mg 0.495 0.989 0.000
Mg 0.502 0.004 0.500
Mg 0.502 0.498 0.500
Mg 0.663 0.831 0.269
Mg 0.663 0.831 0.731
Mg 0.667 0.333 0.245
Mg 0.667 0.333 0.755
Mg 0.996 0.498 0.500
Ti 0.000 0.000 0.500

Top 6 peaks for 10° ≤ 2θ ≤ 90°, by intensity:
two_theta  I/Imax
35.9  1000
31.4  264
34.3  238
67.3  182
55.9  176
62.4  171

---

[3]
La6ZnSi2S14: computed XRD peak list (CuKα), based on a GGA-PBE-relaxed structure.
Peak positions follow from Bragg's law for the DFT cell and can differ from measured ones.

Structural model:
abc: 10.373 10.373 5.776
angles: 90.00 90.00 120.00
Positions (direct):
La 0.023 0.456 0.000
La 0.311 0.211 0.500
La 0.433 0.977 0.000
La 0.544 0.567 0.000
La 0.789 0.099 0.500
La 0.901 0.689 0.500
Zn 0.667 0.333 0.737
Si 0.000 0.000 0.085
Si 0.333 0.667 0.586
S 0.000 0.000 0.720
S 0.075 0.218 0.226
S 0.143 0.925 0.226
S 0.191 0.742 0.727
S 0.258 0.449 0.727
S 0.333 0.667 0.222
S 0.424 0.250 0.979
S 0.505 0.091 0.500
S 0.551 0.809 0.727
S 0.585 0.495 0.500
S 0.750 0.173 0.979
S 0.782 0.857 0.226
S 0.827 0.576 0.979
S 0.909 0.415 0.500

Top 6 peaks for 10° ≤ 2θ ≤ 90°, by intensity:
two_theta  I/Imax
25.1  1000
39.4  580
36.0  556
23.0  476
37.0  376
41.0  337